Diffraction record for MgFe5CuO8. The powder X-ray diffraction pattern is computed, not measured: it uses the PBE+U geometry in the Materials Project and Cu Kα, 1.54184 Å.
Lines closer than 0.1° are merged.

Cell and atoms:
Unit cell a=10.8377 b=6.2499 c=6.0891 alpha=90.00 beta=123.06 gamma=90.00
Space group Cm (No. 8)
Unique sites:
Mg1 0.0000 0.0000 0.0000 x2
Fe1 0.0949 0.2375 0.5922 x4
Fe2 0.2857 0.5000 0.0584 x2
Fe3 0.2879 0.5000 0.5110 x2
Fe4 0.2967 0.0000 0.3066 x2
Cu1 0.4414 0.0000 0.9339 x2
O1 0.0707 0.5000 0.7718 x2
O2 0.0788 0.5000 0.3382 x2
O3 0.1148 0.0000 0.3780 x2
O4 0.1151 0.0000 0.8438 x2
O5 0.3242 0.2909 0.8057 x4
O6 0.3654 0.2927 0.3649 x4

Largest 12 diffraction maxima, by angle, 10° ≤ 2θ ≤ 90°:
2θ = 28.6°, 3.125 Å, I = 53, (0 2 0); 2θ = 29.3°, 3.044 Å, I = 36, (2 0 -2); 2θ = 32.8°, 2.729 Å, I = 100, (2 0 1); 2θ = 33.3°, 2.690 Å, I = 65, (4 0 -1); 2θ = 33.6°, 2.665 Å, I = 72, (0 2 1); 2θ = 33.8°, 2.652 Å, I = 77, (2 2 -1); 2θ = 34.0°, 2.633 Å, I = 61, (1 1 -2); 2θ = 34.4°, 2.608 Å, I = 61, (3 1 -2); 2θ = 34.8°, 2.574 Å, I = 38, (2 2 0); 2θ = 39.7°, 2.271 Å, I = 34, (4 0 0); 2θ = 41.4°, 2.180 Å, I = 38, (2 2 -2); 2θ = 59.1°, 1.562 Å, I = 65, (0 4 0)